1.
This entry pairs a crystal structure of TbPrNd6 with its theoretical XRD peak list. Radiation: CuKα. Structure: a GGA-PBE-relaxed structure.
Neutral-atom scattering factors, no anomalous dispersion.

Cell and atoms:
abc: 7.360 10.364 14.687
angles: 90.00 90.00 90.00
Space group Fmmm (No. 69)
One atom of each set of equivalent atoms:
Tb 0.000 0.000 0.000 [4 per cell]
Pr 0.000 0.000 0.500 [4 per cell]
Nd 0.000 0.000 0.249 [8 per cell]
Nd 0.250 0.250 0.124 [16 per cell]

Main lines, in order of rising 2θ (10° ≤ 2θ ≤ 90°):
2θ = 29.80°, I 100.0; 2θ = 34.51°, I 33.9; 2θ = 34.62°, I 16.8; 2θ = 49.68°, I 30.3; 2θ = 58.94°, I 29.0; 2θ = 80.68°, I 14.7

---

2.
This entry pairs a crystal structure of Tb3Pr4Nd8 with its theoretical XRD peak list. Radiation: CuKα. Structure: a GGA-PBE-relaxed structure.
Neutral-atom scattering factors, no anomalous dispersion.

Cell and atoms:
abc: 7.1101 7.1101 36.4647
angles: 90.00 90.00 120.00
Space group R-3m (No. 166, hexagonal axes)
One atom of each set of equivalent atoms:
Tb 0.0000 0.5000 0.0000 [9 per cell]
Pr 0.0000 0.0000 0.0000 [3 per cell]
Pr 0.0000 0.0000 0.1638 [6 per cell]
Pr 0.0000 0.0000 0.5000 [3 per cell]
Nd 0.0000 0.0000 0.2544 [6 per cell]
Nd 0.0017 0.5009 0.2514 [18 per cell]

Main lines, in order of rising 2θ (10° ≤ 2θ ≤ 90°):
2θ = 29.40°, I 67.4; 2θ = 30.65°, I 100.0; 2θ = 35.18°, I 73.2; 2θ = 51.41°, I 37.1; 2θ = 60.33°, I 46.0; 2θ = 83.77°, I 28.2

---

3.
This entry pairs a crystal structure of TbPrNd6 with its theoretical XRD peak list. Radiation: CuKα. Structure: a GGA-PBE-relaxed structure.
Neutral-atom scattering factors, no anomalous dispersion.

Cell and atoms:
abc: 5.188 5.188 10.376
angles: 90.00 90.00 90.00
Space group P4/mmm (No. 123)
One atom of each set of equivalent atoms:
Tb 0.000 0.000 0.000 [1 per cell]
Pr 0.000 0.000 0.500 [1 per cell]
Nd 0.000 0.500 0.248 [4 per cell]
Nd 0.500 0.500 0.000 [1 per cell]
Nd 0.500 0.500 0.500 [1 per cell]

Main lines, in order of rising 2θ (10° ≤ 2θ ≤ 90°):
2θ = 29.83°, I 100.0; 2θ = 34.58°, I 50.7; 2θ = 49.71°, I 36.4; 2θ = 59.06°, I 43.3; 2θ = 80.74°, I 17.6; 2θ = 83.30°, I 16.3

---

4.
This entry pairs a crystal structure of TbPr4Nd5 with its theoretical XRD peak list. Radiation: CuKα. Structure: a GGA-PBE-relaxed structure.
Neutral-atom scattering factors, no anomalous dispersion.

Cell and atoms:
abc: 10.891 10.891 5.942
angles: 90.00 90.00 90.00
Space group P4/nmm (No. 129, origin choice 2)
One atom of each set of equivalent atoms:
Tb 0.250 0.250 0.140 [2 per cell]
Pr 0.045 0.750 0.869 [8 per cell]
Nd 0.089 0.089 0.663 [8 per cell]
Nd 0.250 0.750 0.500 [2 per cell]

Main lines, in order of rising 2θ (10° ≤ 2θ ≤ 90°):
2θ = 27.60°, I 21.4; 2θ = 28.82°, I 100.0; 2θ = 29.99°, I 46.8; 2θ = 31.20°, I 33.7; 2θ = 34.95°, I 32.1; 2θ = 52.06°, I 28.1

---

5.
This entry pairs a crystal structure of Tb14PrNd with its theoretical XRD peak list. Radiation: CuKα. Structure: a GGA-PBE-relaxed structure.
Neutral-atom scattering factors, no anomalous dispersion.

Cell and atoms:
abc: 11.574 7.189 12.431
angles: 90.00 90.00 90.00
Space group Amm2 (No. 38)
One atom of each set of equivalent atoms:
Tb 0.000 0.000 0.000 [2 per cell]
Tb 0.000 0.000 0.500 [2 per cell]
Tb 0.000 0.250 0.250 [4 per cell]
Tb 0.247 0.250 0.083 [8 per cell]
Tb 0.248 0.000 0.334 [4 per cell]
Tb 0.249 0.000 0.834 [4 per cell]
Tb 0.500 0.250 0.417 [4 per cell]
Pr 0.500 0.000 0.166 [2 per cell]
Nd 0.500 0.000 0.666 [2 per cell]

Main lines, in order of rising 2θ (10° ≤ 2θ ≤ 90°):
2θ = 29.74°, I 41.4; 2θ = 30.90°, I 34.0; 2θ = 32.69°, I 100.0; 2θ = 37.13°, I 23.1; 2θ = 50.85°, I 25.6; 2θ = 60.70°, I 30.0

---

6.
This entry pairs a crystal structure of Tb3Pr7Nd with its theoretical XRD peak list. Radiation: CuKα. Structure: a GGA-PBE-relaxed structure.
Neutral-atom scattering factors, no anomalous dispersion.

Cell and atoms:
abc: 12.920 11.533 6.006
angles: 90.00 117.61 90.00
Space group C2/m (No. 12)
One atom of each set of equivalent atoms:
Tb 0.000 0.000 0.000 [2 per cell]
Tb 0.000 0.203 0.500 [4 per cell]
Pr 0.000 0.500 0.500 [2 per cell]
Pr 0.197 0.206 0.197 [8 per cell]
Pr 0.209 0.000 0.708 [4 per cell]
Nd 0.000 0.500 0.000 [2 per cell]

Main lines, in order of rising 2θ (10° ≤ 2θ ≤ 90°):
2θ = 29.75°, I 52.0; 2θ = 31.02°, I 22.0; 2θ = 31.25°, I 18.8; 2θ = 31.77°, I 100.0; 2θ = 31.84°, I 35.6; 2θ = 54.08°, I 22.2

---

7.
This entry pairs a crystal structure of Tb3Pr2Nd5 with its theoretical XRD peak list. Radiation: CuKα. Structure: a GGA-PBE-relaxed structure.
Neutral-atom scattering factors, no anomalous dispersion.

Cell and atoms:
abc: 11.045 15.545 9.846
angles: 90.00 123.90 90.00
Space group C2/c (No. 15)
One atom of each set of equivalent atoms:
Tb 0.000 0.022 0.250 [4 per cell]
Tb 0.157 0.378 0.547 [8 per cell]
Pr 0.146 0.123 0.055 [8 per cell]
Nd 0.000 0.229 0.250 [4 per cell]
Nd 0.000 0.269 0.750 [4 per cell]
Nd 0.000 0.469 0.750 [4 per cell]
Nd 0.236 0.381 0.227 [8 per cell]

Main lines, in order of rising 2θ (10° ≤ 2θ ≤ 90°):
2θ = 29.52°, I 97.7; 2θ = 30.17°, I 100.0; 2θ = 31.78°, I 22.9; 2θ = 32.42°, I 48.4; 2θ = 48.49°, I 25.2; 2θ = 66.55°, I 18.8

---

8.
This entry pairs a crystal structure of TbPr10Nd4 with its theoretical XRD peak list. Radiation: CuKα. Structure: a GGA-PBE-relaxed structure.
Neutral-atom scattering factors, no anomalous dispersion.

Cell and atoms:
abc: 11.677 11.677 8.041
angles: 90.00 90.00 90.00
Space group I4/mmm (No. 139)
One atom of each set of equivalent atoms:
Tb 0.000 0.000 0.000 [2 per cell]
Pr 0.000 0.213 0.289 [16 per cell]
Pr 0.000 0.500 0.250 [4 per cell]
Nd 0.228 0.228 0.000 [8 per cell]

Main lines, in order of rising 2θ (10° ≤ 2θ ≤ 90°):
2θ = 26.92°, I 44.9; 2θ = 29.74°, I 45.5; 2θ = 30.62°, I 100.0; 2θ = 31.05°, I 96.9; 2θ = 32.93°, I 37.3; 2θ = 39.68°, I 41.4

---

9.
This entry pairs a crystal structure of TbPr5Nd7 with its theoretical XRD peak list. Radiation: CuKα. Structure: a GGA-PBE-relaxed structure.
Neutral-atom scattering factors, no anomalous dispersion.

Cell and atoms:
abc: 6.927 11.300 12.038
angles: 90.00 90.00 90.00
Space group Imm2 (No. 44)
One atom of each set of equivalent atoms:
Tb 0.000 0.000 0.000 [2 per cell]
Pr 0.000 0.500 0.269 [2 per cell]
Pr 0.226 0.224 0.814 [8 per cell]
Nd 0.000 0.000 0.304 [2 per cell]
Nd 0.000 0.000 0.608 [2 per cell]
Nd 0.000 0.318 0.054 [4 per cell]
Nd 0.000 0.332 0.551 [4 per cell]
Nd 0.000 0.500 0.794 [2 per cell]

Main lines, in order of rising 2θ (10° ≤ 2θ ≤ 90°):
2θ = 26.94°, I 28.6; 2θ = 29.72°, I 100.0; 2θ = 30.25°, I 56.8; 2θ = 30.84°, I 80.7; 2θ = 33.81°, I 80.2; 2θ = 35.11°, I 38.1

---

10.
This entry pairs a crystal structure of Tb7Pr2Nd2 with its theoretical XRD peak list. Radiation: CuKα. Structure: a GGA-PBE-relaxed structure.
Neutral-atom scattering factors, no anomalous dispersion.

Cell and atoms:
abc: 11.365 11.711 6.149
angles: 90.00 113.65 90.00
Space group C2/m (No. 12)
One atom of each set of equivalent atoms:
Tb 0.000 0.000 0.000 [2 per cell]
Tb 0.173 0.238 0.174 [8 per cell]
Tb 0.235 0.000 0.577 [4 per cell]
Pr 0.000 0.213 0.500 [4 per cell]
Nd 0.097 0.500 0.812 [4 per cell]

Main lines, in order of rising 2θ (10° ≤ 2θ ≤ 90°):
2θ = 25.32°, I 17.1; 2θ = 30.34°, I 21.5; 2θ = 30.53°, I 38.2; 2θ = 31.61°, I 100.0; 2θ = 33.21°, I 32.0; 2θ = 33.42°, I 22.0

---

11.
This entry pairs a crystal structure of Tb12Pr7Nd with its theoretical XRD peak list. Radiation: CuKα. Structure: a GGA-PBE-relaxed structure.
Neutral-atom scattering factors, no anomalous dispersion.

Cell and atoms:
abc: 12.1217 12.1217 16.3174
angles: 90.00 90.00 120.00
Space group R-3 (No. 148, hexagonal axes)
One atom of each set of equivalent atoms:
Tb 0.0226 0.4467 0.2226 [18 per cell]
Tb 0.0510 0.5871 0.5823 [18 per cell]
Pr 0.0000 0.0000 0.0000 [3 per cell]
Pr 0.0546 0.1875 0.2894 [18 per cell]
Nd 0.0000 0.0000 0.5000 [3 per cell]

Main lines, in order of rising 2θ (10° ≤ 2θ ≤ 90°):
2θ = 28.64°, I 24.8; 2θ = 30.37°, I 38.2; 2θ = 31.21°, I 100.0; 2θ = 31.45°, I 46.1; 2θ = 32.30°, I 20.2; 2θ = 32.66°, I 51.6

---

12.
This entry pairs a crystal structure of TbPr2Nd3 with its theoretical XRD peak list. Radiation: CuKα. Structure: a GGA-PBE-relaxed structure.
Neutral-atom scattering factors, no anomalous dispersion.

Cell and atoms:
abc: 9.199 10.085 9.198
angles: 90.00 101.44 90.00
Space group C2/c (No. 15)
One atom of each set of equivalent atoms:
Tb 0.000 0.083 0.250 [4 per cell]
Pr 0.125 0.247 0.624 [8 per cell]
Nd 0.000 0.416 0.250 [4 per cell]
Nd 0.248 0.417 0.000 [8 per cell]

Main lines, in order of rising 2θ (10° ≤ 2θ ≤ 90°):
2θ = 30.72°, I 100.0; 2θ = 44.01°, I 17.4; 2θ = 54.61°, I 29.0; 2θ = 61.00°, I 16.9; 2θ = 72.62°, I 7.8; 2θ = 88.95°, I 10.3